For Ho2Ga9Rh3, a DFT-relaxed cell (GGA-PBE, the Materials Project) gives the simulated powder diffractogram in this record (Cu Kα, 1.54184 Å).

Lattice parameters (Å, degrees): 7.567 7.567 9.527 90.00 90.00 60.15
Atoms (fractional coordinates):
1 Ho 0.003 0.668 0.750
2 Ho 0.332 0.997 0.750
3 Ho 0.668 0.003 0.250
4 Ho 0.997 0.332 0.250
5 Ga 0.000 0.334 0.579
6 Ga 0.000 0.334 0.921
7 Ga 0.000 0.666 0.079
8 Ga 0.000 0.666 0.421
9 Ga 0.125 0.875 0.250
10 Ga 0.333 0.667 0.563
11 Ga 0.333 0.667 0.937
12 Ga 0.334 0.000 0.079
13 Ga 0.334 0.000 0.421
14 Ga 0.338 0.453 0.250
15 Ga 0.453 0.338 0.750
16 Ga 0.547 0.662 0.250
17 Ga 0.662 0.547 0.750
18 Ga 0.666 0.000 0.579
19 Ga 0.666 0.000 0.921
20 Ga 0.667 0.333 0.063
21 Ga 0.667 0.333 0.437
22 Ga 0.875 0.125 0.750
23 Rh 0.000 0.000 0.000
24 Rh 0.000 0.000 0.500
25 Rh 0.328 0.328 0.000
26 Rh 0.328 0.328 0.500
27 Rh 0.672 0.672 0.000
28 Rh 0.672 0.672 0.500

Principal peaks in the range 2θ from 5° to 70°, low angle first:
2θ/deg	Rel. int.
25.3	11
30.1	21
36.9	100
37.5	18
37.8	19
41.0	19
41.3	87
45.0	12
57.2	15
63.5	14

---

For HoGaRh2, a DFT-relaxed cell (GGA-PBE, the Materials Project) gives the simulated powder diffractogram in this record (Cu Kα, 1.54184 Å).

Lattice parameters (Å, degrees): 4.559 4.559 4.559 60.00 60.00 60.00
Atoms (fractional coordinates):
1 Ho 0.000 0.000 0.000
2 Ga 0.500 0.500 0.500
3 Rh 0.250 0.250 0.250
4 Rh 0.750 0.750 0.750

Principal peaks in the range 2θ from 5° to 70°, low angle first:
2θ/deg	Rel. int.
23.9	10
39.5	100
46.7	5
57.1	17
62.8	2